(1)
For Dy4Y3Ni2Se2, a PBE-relaxed structure gives the calculated powder XRD pattern in this record (Cu Kα, 1.54184 Å).
Neutral-atom scattering factors, no anomalous dispersion.

Atomic structure:
abc: 9.113 9.113 9.113
angles: 155.86 67.11 118.45
Fractional positions:
Dy (0.124, 0.000, 0.124)
Dy (0.519, 0.204, 0.314)
Dy (0.876, 0.000, 0.876)
Dy (0.890, 0.204, 0.686)
Y (0.208, 0.847, 0.361)
Y (0.486, 0.847, 0.639)
Y (0.593, 0.593, 0.000)
Ni (0.272, 0.512, 0.760)
Ni (0.752, 0.512, 0.240)
Se (0.250, 0.250, 0.000)
Se (0.846, 0.346, 0.500)

Peak list (10 most intense, 10° ≤ 2θ ≤ 90°, low angle first)
- 3.527 Å, 25.25°, intensity 29
- 3.045 Å, 29.33°, intensity 37
- 2.893 Å, 30.91°, intensity 84
- 2.649 Å, 33.84°, intensity 63
- 2.584 Å, 34.71°, intensity 100
- 2.549 Å, 35.21°, intensity 68
- 2.296 Å, 39.24°, intensity 26
- 2.226 Å, 40.52°, intensity 21
- 1.905 Å, 47.73°, intensity 30
- 1.547 Å, 59.79°, intensity 24

(2)
For Hf2Ag3Au, a PBE-relaxed structure gives the calculated powder XRD pattern in this record (Cu Kα, 1.54184 Å).
Neutral-atom scattering factors, no anomalous dispersion.

Atomic structure:
abc: 3.544 3.544 8.888
angles: 90.00 90.00 90.00
Fractional positions:
Hf (0.000, 0.000, 0.000)
Hf (0.500, 0.500, 0.494)
Ag (0.000, 0.000, 0.327)
Ag (0.000, 0.000, 0.666)
Ag (0.500, 0.500, 0.824)
Au (0.500, 0.500, 0.162)

Peak list (10 most intense, 10° ≤ 2θ ≤ 90°, low angle first)
- 2.506 Å, 35.84°, intensity 66
- 2.273 Å, 39.65°, intensity 100
- 1.772 Å, 51.58°, intensity 23
- 1.481 Å, 62.72°, intensity 6
- 1.397 Å, 66.96°, intensity 42
- 1.275 Å, 74.39°, intensity 15
- 1.253 Å, 75.95°, intensity 7
- 1.136 Å, 85.43°, intensity 11
- 1.121 Å, 86.93°, intensity 11
- 1.097 Å, 89.27°, intensity 10